Diffraction record for NaCd5Hg11. The PXRD pattern is computed, not measured: it uses DFT lattice parameters and positions (PBE) and Cu Kα X-rays.

The 12 most intense peaks (2θ = 15–90°), in order of rising 2θ:
2θ/deg  intensity
28.32  34.7
29.26  32.5
30.67  32.7
31.23  93.9
32.48  100.0
32.59  29.2
34.84  29.6
35.06  49.8
35.43  26.5
36.46  34.4
36.73  36.7
40.07  40.6

Structural model:
```
17
Lattice="5.3935 -6.4244 0.0000 5.3935 6.4244 0.0000 -0.5715 0.0000 6.3952" Properties=species:S:1:pos:R:3 pbc="T T T"
Na 0.0000 0.0000 0.0000
Cd 1.6275 2.0899 4.2110
Cd 1.6275 -2.0899 4.2110
Cd 5.3935 0.0000 0.0000
Cd 8.5880 2.0899 2.1842
Cd 8.5880 -2.0899 2.1842
Hg -0.2858 0.0000 3.1976
Hg 2.7121 1.5443 0.8440
Hg 4.5058 2.9133 4.8250
Hg 5.7097 2.9133 1.5702
Hg 3.6618 0.0000 3.5300
Hg 2.7121 -1.5443 0.8440
Hg 7.5034 1.5443 5.5512
Hg 6.5537 0.0000 2.8653
Hg 4.5058 -2.9133 4.8250
Hg 5.7097 -2.9133 1.5702
Hg 7.5034 -1.5443 5.5512
```